YTlIn2Cl6: simulated powder diffractogram (Cu Kα (λ = 1.5418 Å)), based on a GGA-PBE-relaxed structure.
Kinematic intensities with the Lorentz-polarization factor, no thermal factor.

Main lines, in order of rising 2θ (2θ = 5–70°):
(0 2 0), d = 4.198 Å, 2θ = 21.2°, intensity 46
(1 1 1), d = 3.958 Å, 2θ = 22.5°, intensity 100
(1 1 -3), d = 3.787 Å, 2θ = 23.5°, intensity 96
(2 0 -2), d = 3.659 Å, 2θ = 24.3°, intensity 41
(2 2 -2), d = 2.758 Å, 2θ = 32.5°, intensity 51
(0 0 4), d = 2.714 Å, 2θ = 33.0°, intensity 37
(2 1 1), d = 2.529 Å, 2θ = 35.5°, intensity 29
(0 2 4), d = 2.279 Å, 2θ = 39.5°, intensity 28
(3 1 -1), d = 2.196 Å, 2θ = 41.1°, intensity 34
(3 1 -5), d = 2.108 Å, 2θ = 42.9°, intensity 34

Cell and atoms:
a = 7.330 Å, b = 8.396 Å, c = 12.754 Å
α = 90.00°, β = 121.65°, γ = 90.00°
Space group P2_1/c (No. 14)
Symmetry-distinct sites (fractional):
Y 0.000 0.000 0.000 [2 per cell]
Tl 0.500 0.000 0.500 [2 per cell]
In 0.298 0.070 0.774 [4 per cell]
Cl 0.096 0.073 0.227 [4 per cell]
Cl 0.245 0.741 0.085 [4 per cell]
Cl 0.341 0.159 0.033 [4 per cell]

***

Pu3Ga9Ru2: simulated powder diffractogram (Cu Kα (λ = 1.5418 Å)), based on a GGA-PBE-relaxed structure.
Kinematic intensities with the Lorentz-polarization factor, no thermal factor.

Main lines, in order of rising 2θ (2θ = 5–70°):
(1 1 0), d = 3.954 Å, 2θ = 22.5°, intensity 37
(1 0 3), d = 2.982 Å, 2θ = 30.0°, intensity 23
(0 2 4), d = 2.581 Å, 2θ = 34.8°, intensity 22
(1 3 0), d = 2.560 Å, 2θ = 35.1°, intensity 37
(1 2 3), d = 2.526 Å, 2θ = 35.5°, intensity 100
(0 3 3), d = 2.506 Å, 2θ = 35.8°, intensity 38
(1 1 4), d = 2.427 Å, 2θ = 37.0°, intensity 33
(1 3 2), d = 2.363 Å, 2θ = 38.1°, intensity 23
(2 0 0), d = 2.174 Å, 2θ = 41.5°, intensity 42
(2 3 3), d = 1.642 Å, 2θ = 56.0°, intensity 21

Cell and atoms:
a = 4.348 Å, b = 9.502 Å, c = 12.294 Å
α = 90.00°, β = 90.00°, γ = 90.00°
Space group Immm (No. 71)
Symmetry-distinct sites (fractional):
Pu 0.000 0.000 0.000 [2 per cell]
Pu 0.000 0.000 0.301 [4 per cell]
Ga 0.000 0.281 0.132 [8 per cell]
Ga 0.000 0.363 0.348 [8 per cell]
Ga 0.000 0.500 0.000 [2 per cell]
Ru 0.000 0.171 0.500 [4 per cell]

***

Na4B5C3: simulated powder diffractogram (Cu Kα (λ = 1.5418 Å)), based on a GGA-PBE-relaxed structure.
Kinematic intensities with the Lorentz-polarization factor, no thermal factor.

Main lines, in order of rising 2θ (2θ = 5–70°):
(0 0 8), d = 4.251 Å, 2θ = 20.9°, intensity 1
(1 0 0), d = 2.480 Å, 2θ = 36.2°, intensity 18
(1 0 8), d = 2.142 Å, 2θ = 42.2°, intensity 100
(0 0 16), d = 2.125 Å, 2θ = 42.5°, intensity 25
(1 0 9), d = 2.073 Å, 2θ = 43.7°, intensity 1
(1 0 16), d = 1.614 Å, 2θ = 57.1°, intensity 10
(1 1 0), d = 1.432 Å, 2θ = 65.2°, intensity 17
(1 1 8), d = 1.357 Å, 2θ = 69.2°, intensity 1

Cell and atoms:
a = 2.8635 Å, b = 2.8635 Å, c = 34.0043 Å
α = 90.00°, β = 90.00°, γ = 120.00°
Space group P-6m2 (No. 187)
Symmetry-distinct sites (fractional):
Na 0.0000 0.0000 0.0618 [2 per cell]
Na 0.0000 0.0000 0.1854 [2 per cell]
Na 0.0000 0.0000 0.3097 [2 per cell]
Na 0.0000 0.0000 0.4374 [2 per cell]
B 0.3333 0.6667 0.0000 [1 per cell]
B 0.3333 0.6667 0.2471 [2 per cell]
B 0.3333 0.6667 0.3735 [2 per cell]
B 0.3333 0.6667 0.5000 [1 per cell]
B 0.6667 0.3333 0.1235 [2 per cell]
B 0.6667 0.3333 0.3735 [2 per cell]
C 0.3333 0.6667 0.1235 [2 per cell]
C 0.6667 0.3333 0.0000 [1 per cell]
C 0.6667 0.3333 0.2470 [2 per cell]
C 0.6667 0.3333 0.5000 [1 per cell]